Diffraction record for CaLaMg10. The powder X-ray diffraction pattern is computed, not measured: it uses a PBE-relaxed structure and copper Kα.
Kinematic intensities with the Lorentz-polarization factor, no thermal factor.

Cell and atoms:
```
CaLaMg10
1.0
4.9988 0.0000 0.0000
0.0000 6.0333 0.0000
0.0000 0.0000 10.5564
Ca La Mg
1 1 10
direct
0.0000 0.0000 0.0000
0.0000 0.5000 0.5000
0.0000 0.0000 0.3309
0.0000 0.0000 0.6691
0.0000 0.5000 0.1662
0.0000 0.5000 0.8338
0.5000 0.0000 0.5000
0.5000 0.2540 0.2553
0.5000 0.2540 0.7447
0.5000 0.5000 0.0000
0.5000 0.7460 0.2553
0.5000 0.7460 0.7447
```

The 12 most intense peaks (2θ = 15–90°), low angle first:
d 4.999, I 18; d 3.621, I 100; d 3.040, I 35; d 3.017, I 17; d 2.639, I 18; d 2.619, I 34; d 2.597, I 95; d 2.583, I 47; d 2.499, I 36; d 1.931, I 18; d 1.808, I 22; d 1.648, I 24

Diffraction record for Ca2La2MgTi3O12. The powder X-ray diffraction pattern is computed, not measured: it uses a PBE-relaxed structure and copper Kα.
Kinematic intensities with the Lorentz-polarization factor, no thermal factor.

Cell and atoms:
```
Ca2La2MgTi3O12
1.0
15.6547 0.0000 0.0000
0.0000 5.4944 0.0000
-0.0037 0.0000 5.5868
Ca La Mg Ti O
4 4 2 6 24
direct
0.1201 0.0063 0.4605
0.1201 0.4937 0.9605
0.8799 0.5063 0.0395
0.8799 0.9937 0.5395
0.3807 0.5121 0.0397
0.3807 0.9879 0.5397
0.6193 0.0121 0.4603
0.6193 0.4879 0.9603
0.5000 0.0000 0.0000
0.5000 0.5000 0.5000
0.0000 0.0000 0.0000
0.0000 0.5000 0.5000
0.2447 0.0062 0.0139
0.2447 0.4938 0.5139
0.7553 0.5062 0.4861
0.7553 0.9938 0.9861
0.0202 0.2134 0.7133
0.0202 0.2866 0.2133
0.1217 0.5804 0.5189
0.1217 0.9196 0.0189
0.2232 0.2141 0.7079
0.2232 0.2859 0.2079
0.2658 0.7125 0.7809
0.2658 0.7875 0.2809
0.3646 0.0741 0.9830
0.3646 0.4259 0.4830
0.4806 0.6998 0.7999
0.4806 0.8002 0.2999
0.5194 0.1998 0.7001
0.5194 0.3002 0.2001
0.6354 0.5741 0.5170
0.6354 0.9259 0.0170
0.7342 0.2125 0.7191
0.7342 0.2875 0.2191
0.7768 0.7141 0.7921
0.7768 0.7859 0.2921
0.8783 0.0804 0.9811
0.8783 0.4196 0.4811
0.9798 0.7134 0.7867
0.9798 0.7866 0.2867
```

The 12 most intense peaks (2θ = 15–90°), low angle first:
d 3.916, I 14; d 3.800, I 30; d 3.132, I 14; d 2.793, I 24; d 2.769, I 100; d 2.748, I 28; d 2.249, I 14; d 1.958, I 50; d 1.608, I 14; d 1.590, I 28; d 1.384, I 16; d 1.238, I 14

Diffraction record for CaLa2MgTl4. The powder X-ray diffraction pattern is computed, not measured: it uses a PBE-relaxed structure and copper Kα.
Kinematic intensities with the Lorentz-polarization factor, no thermal factor.

Cell and atoms:
```
CaLa2MgTl4
1.0
2.7257 1.5737 9.1208
-2.7257 1.5737 9.1208
0.0000 -3.1474 9.1208
Ca La Mg Tl
1 2 1 4
direct
0.0000 0.0000 0.0000
0.2441 0.2441 0.2441
0.7559 0.7559 0.7559
0.5000 0.5000 0.5000
0.1247 0.1247 0.1247
0.3739 0.3739 0.3739
0.6261 0.6261 0.6261
0.8753 0.8753 0.8753
```

The 12 most intense peaks (2θ = 15–90°), low angle first:
d 4.463, I 11; d 3.886, I 38; d 2.770, I 100; d 2.726, I 98; d 1.943, I 36; d 1.608, I 19; d 1.582, I 38; d 1.574, I 19; d 1.385, I 11; d 1.363, I 12; d 1.235, I 16; d 1.223, I 16

Diffraction record for CaLaMnN4. The powder X-ray diffraction pattern is computed, not measured: it uses a PBE-relaxed structure and copper Kα.
Kinematic intensities with the Lorentz-polarization factor, no thermal factor.

Cell and atoms:
```
CaLaMnN4
1.0
5.6735 0.0000 0.0000
0.0000 5.3771 0.0000
-1.5467 0.0000 7.0524
Ca La Mn N
2 2 2 8
direct
0.2437 0.2500 0.0329
0.7563 0.7500 0.9671
0.2296 0.2500 0.5314
0.7704 0.7500 0.4686
0.2265 0.7500 0.2789
0.7735 0.2500 0.7211
0.0428 0.0008 0.2357
0.0428 0.4992 0.2357
0.3559 0.7500 0.5154
0.4491 0.7500 0.1568
0.5509 0.2500 0.8432
0.6441 0.2500 0.4846
0.9572 0.5008 0.7643
0.9572 0.9992 0.7643
```

The 12 most intense peaks (2θ = 15–90°), low angle first:
d 4.276, I 61; d 3.859, I 72; d 3.620, I 28; d 2.821, I 96; d 2.771, I 53; d 2.689, I 70; d 2.512, I 26; d 2.429, I 100; d 2.228, I 39; d 2.138, I 27; d 1.930, I 54; d 1.795, I 25